1.
Computed X-ray powder pattern of HoEr2Fe3Ni6 for Cu Kα (λ = 1.5418 Å), from a PBE-relaxed structure.
Neutral-atom scattering factors, no anomalous dispersion.

The 8 most intense peaks (2θ = 5–70°), sorted by position:
- hkl 1 0 7, 33.4°, I 57
- hkl 1 1 0, 36.0°, I 59
- hkl 0 1 8, 36.5°, I 46
- hkl 0 2 1, 42.0°, I 47
- hkl 1 1 6, 42.7°, I 100
- hkl 2 1 7, 63.0°, I 19
- hkl 1 2 8, 65.0°, I 16
- hkl 3 0 6, 69.3°, I 22

abc: 4.9936 4.9936 23.9747
angles: 90.00 90.00 120.00
Space group R-3m (No. 166, hexagonal axes)
One atom of each set of equivalent atoms:
Ho 0.0000 0.0000 0.0000 x3
Er 0.0000 0.0000 0.1389 x6
Fe 0.0000 0.0000 0.3334 x6
Fe 0.0000 0.0000 0.5000 x3
Ni 0.0015 0.5007 0.9172 x18

***

2.
Computed X-ray powder pattern of HoEr2Fe8Ni for Cu Kα (λ = 1.5418 Å), from a PBE-relaxed structure.
Neutral-atom scattering factors, no anomalous dispersion.

The 8 most intense peaks (2θ = 5–70°), sorted by position:
- hkl 1 0 1, 20.8°, I 14
- hkl 1 0 7, 33.0°, I 52
- hkl 1 1 0, 35.8°, I 58
- hkl 0 1 8, 36.0°, I 38
- hkl 0 2 1, 41.8°, I 37
- hkl 1 1 6, 42.4°, I 100
- hkl 2 1 7, 62.6°, I 17
- hkl 3 0 6, 68.9°, I 32

abc: 5.0151 5.0151 24.3338
angles: 90.00 90.00 120.00
Space group R-3m (No. 166, hexagonal axes)
One atom of each set of equivalent atoms:
Ho 0.0000 0.0000 0.0000 x3
Er 0.0000 0.0000 0.1419 x6
Fe 0.0000 0.0000 0.3332 x6
Fe 0.0017 0.5009 0.9184 x18
Ni 0.0000 0.0000 0.5000 x3

***

3.
Computed X-ray powder pattern of Er2LuFe9 for Cu Kα (λ = 1.5418 Å), from a PBE-relaxed structure.
Neutral-atom scattering factors, no anomalous dispersion.

The 8 most intense peaks (2θ = 5–70°), sorted by position:
- hkl 1 0 1, 20.8°, I 17
- hkl 1 0 7, 33.3°, I 55
- hkl 1 1 0, 35.9°, I 59
- hkl 0 1 8, 36.5°, I 37
- hkl 0 2 1, 41.8°, I 39
- hkl 1 1 6, 42.6°, I 100
- hkl 2 1 7, 62.9°, I 18
- hkl 3 0 6, 69.1°, I 23

abc: 5.0061 5.0061 23.9658
angles: 90.00 90.00 120.00
Space group R-3m (No. 166, hexagonal axes)
One atom of each set of equivalent atoms:
Er 0.0000 0.0000 0.1418 x6
Lu 0.0000 0.0000 0.0000 x3
Fe 0.0000 0.0000 0.3328 x6
Fe 0.0000 0.0000 0.5000 x3
Fe 0.9997 0.4999 0.0816 x18

***

4.
Computed X-ray powder pattern of ErLu6Fe2Te2 for Cu Kα (λ = 1.5418 Å), from a PBE-relaxed structure.
Neutral-atom scattering factors, no anomalous dispersion.

The 8 most intense peaks (2θ = 5–70°), sorted by position:
- hkl 1 1 2, 31.1°, I 55
- hkl 0 3 3, 34.1°, I 85
- hkl 1 4 1, 34.6°, I 100
- hkl 0 6 0, 35.0°, I 30
- hkl 1 3 2, 35.3°, I 59
- hkl 1 0 3, 37.7°, I 23
- hkl 2 0 0, 47.9°, I 32
- hkl 2 3 3, 60.1°, I 34

abc: 3.800 15.396 9.182
angles: 90.00 90.00 90.00
Space group Imm2 (No. 44)
One atom of each set of equivalent atoms:
Er 0.000 0.000 0.000 x2
Lu 0.000 0.137 0.581 x4
Lu 0.000 0.312 0.372 x4
Lu 0.000 0.350 0.730 x4
Fe 0.000 0.235 0.068 x4
Te 0.000 0.000 0.337 x2
Te 0.000 0.500 0.232 x2

***

5.
Computed X-ray powder pattern of Er2Mg3Fe2 for Cu Kα (λ = 1.5418 Å), from a PBE-relaxed structure.
Neutral-atom scattering factors, no anomalous dispersion.

The 8 most intense peaks (2θ = 5–70°), sorted by position:
- hkl 0 2 0, 8.4°, I 100
- hkl 1 3 0, 26.1°, I 15
- hkl 1 1 1, 33.8°, I 16
- hkl 0 6 1, 35.5°, I 23
- hkl 1 3 1, 36.0°, I 30
- hkl 1 5 1, 40.0°, I 16
- hkl 1 9 0, 45.2°, I 9
- hkl 2 6 1, 59.7°, I 10

abc: 3.920 21.013 3.653
angles: 90.00 90.00 90.00
Space group Cmmm (No. 65)
One atom of each set of equivalent atoms:
Er 0.000 0.174 0.000 x4
Mg 0.000 0.000 0.000 x2
Mg 0.000 0.420 0.500 x4
Fe 0.000 0.281 0.500 x4

***

6.
Computed X-ray powder pattern of Er2NbFeSi2 for Cu Kα (λ = 1.5418 Å), from a PBE-relaxed structure.
Neutral-atom scattering factors, no anomalous dispersion.

The 8 most intense peaks (2θ = 5–70°), sorted by position:
- hkl 1 0 1, 25.7°, I 81
- hkl 1 0 2, 33.3°, I 100
- hkl 1 1 1, 34.6°, I 96
- hkl 0 0 3, 36.4°, I 37
- hkl 1 1 2, 40.7°, I 53
- hkl 2 0 0, 46.4°, I 53
- hkl 2 1 2, 58.3°, I 41
- hkl 2 0 3, 60.3°, I 33

abc: 3.915 3.915 7.413
angles: 90.00 90.00 90.00
Space group P-4m2 (No. 115)
One atom of each set of equivalent atoms:
Er 0.000 0.500 0.151 x2
Nb 0.000 0.000 0.500 x1
Fe 0.500 0.500 0.500 x1
Si 0.000 0.500 0.730 x2

***

7.
Computed X-ray powder pattern of Er2FeSi4Ni for Cu Kα (λ = 1.5418 Å), from a PBE-relaxed structure.
Neutral-atom scattering factors, no anomalous dispersion.

The 8 most intense peaks (2θ = 5–70°), sorted by position:
- hkl 0 0 4, 21.6°, I 39
- hkl 1 0 2, 25.1°, I 34
- hkl 1 1 1, 32.5°, I 73
- hkl 0 1 5, 35.4°, I 70
- hkl 1 1 3, 36.0°, I 100
- hkl 1 0 6, 40.1°, I 36
- hkl 0 2 0, 45.6°, I 30
- hkl 2 1 5, 59.5°, I 31

abc: 3.933 3.980 16.457
angles: 90.00 90.00 90.00
Space group Amm2 (No. 38)
One atom of each set of equivalent atoms:
Er 0.000 0.000 0.000 x2
Er 0.500 0.000 0.215 x2
Fe 0.500 0.000 0.428 x2
Si 0.000 0.000 0.357 x2
Si 0.000 0.000 0.647 x2
Si 0.500 0.000 0.563 x2
Si 0.500 0.000 0.857 x2
Ni 0.000 0.000 0.782 x2

***

8.
Computed X-ray powder pattern of ErFeSi2Ni for Cu Kα (λ = 1.5418 Å), from a PBE-relaxed structure.
Neutral-atom scattering factors, no anomalous dispersion.

The 8 most intense peaks (2θ = 5–70°), sorted by position:
- hkl 1 0 1, 24.8°, I 54
- hkl 1 0 3, 36.2°, I 57
- hkl 0 0 4, 37.0°, I 17
- hkl 1 1 2, 37.7°, I 100
- hkl 2 0 0, 46.9°, I 38
- hkl 1 0 5, 52.7°, I 19
- hkl 2 1 3, 60.7°, I 25
- hkl 1 1 6, 67.2°, I 18

abc: 3.871 3.871 9.713
angles: 90.00 90.00 90.00
Space group I-4m2 (No. 119)
One atom of each set of equivalent atoms:
Er 0.000 0.000 0.000 x2
Fe 0.000 0.500 0.250 x2
Si 0.000 0.000 0.374 x4
Ni 0.000 0.500 0.750 x2

***

9.
Computed X-ray powder pattern of YEr2Fe8Ni for Cu Kα (λ = 1.5418 Å), from a PBE-relaxed structure.
Neutral-atom scattering factors, no anomalous dispersion.

The 8 most intense peaks (2θ = 5–70°), sorted by position:
- hkl 0 0 3, 11.0°, I 22
- hkl 1 0 7, 33.0°, I 47
- hkl 1 1 0, 35.6°, I 56
- hkl 0 1 8, 36.1°, I 33
- hkl 0 2 1, 41.5°, I 35
- hkl 1 1 6, 42.2°, I 100
- hkl 0 1 11, 46.2°, I 21
- hkl 3 0 6, 68.5°, I 22

abc: 5.0472 5.0472 24.2244
angles: 90.00 90.00 120.00
Space group R-3m (No. 166, hexagonal axes)
One atom of each set of equivalent atoms:
Y 0.0000 0.0000 0.0000 x3
Er 0.0000 0.0000 0.1419 x6
Fe 0.0000 0.0000 0.3329 x6
Fe 0.0011 0.5006 0.9182 x18
Ni 0.0000 0.0000 0.5000 x3

***

10.
Computed X-ray powder pattern of YEr2Fe7Ni2 for Cu Kα (λ = 1.5418 Å), from a PBE-relaxed structure.
Neutral-atom scattering factors, no anomalous dispersion.

The 8 most intense peaks (2θ = 5–70°), sorted by position:
- hkl 0 0 3, 10.8°, I 17
- hkl 1 0 7, 32.9°, I 42
- hkl 1 1 0, 35.9°, I 74
- hkl 0 2 1, 41.9°, I 30
- hkl 1 1 6, 42.4°, I 100
- hkl 0 1 11, 45.8°, I 37
- hkl 3 0 0, 64.6°, I 18
- hkl 3 0 6, 69.0°, I 23

abc: 4.9990 4.9990 24.5515
angles: 90.00 90.00 120.00
Space group R-3m (No. 166, hexagonal axes)
One atom of each set of equivalent atoms:
Y 0.0000 0.0000 0.0000 x3
Er 0.0000 0.0000 0.1419 x6
Fe 0.0000 0.0000 0.5000 x3
Fe 0.0001 0.5001 0.0826 x18
Ni 0.0000 0.0000 0.3327 x6

***

11.
Computed X-ray powder pattern of Y2ErFe7Ni2 for Cu Kα (λ = 1.5418 Å), from a PBE-relaxed structure.
Neutral-atom scattering factors, no anomalous dispersion.

The 8 most intense peaks (2θ = 5–70°), sorted by position:
- hkl 1 0 7, 32.8°, I 37
- hkl 1 1 0, 35.8°, I 70
- hkl 0 2 1, 41.8°, I 33
- hkl 1 1 6, 42.3°, I 100
- hkl 2 0 2, 42.3°, I 14
- hkl 0 0 12, 44.1°, I 18
- hkl 3 0 0, 64.4°, I 17
- hkl 3 0 6, 68.9°, I 22

abc: 5.0074 5.0074 24.6296
angles: 90.00 90.00 120.00
Space group R-3m (No. 166, hexagonal axes)
One atom of each set of equivalent atoms:
Y 0.0000 0.0000 0.1415 x6
Er 0.0000 0.0000 0.0000 x3
Fe 0.0000 0.0000 0.5000 x3
Fe 0.0009 0.5004 0.0818 x18
Ni 0.0000 0.0000 0.3325 x6

***

12.
Computed X-ray powder pattern of Y2ErFeNi8 for Cu Kα (λ = 1.5418 Å), from a PBE-relaxed structure.
Neutral-atom scattering factors, no anomalous dispersion.

The 8 most intense peaks (2θ = 5–70°), sorted by position:
- hkl 1 0 7, 33.3°, I 34
- hkl 1 1 0, 36.1°, I 41
- hkl 0 1 8, 36.4°, I 33
- hkl 0 2 1, 42.1°, I 40
- hkl 2 0 2, 42.6°, I 16
- hkl 1 1 6, 42.7°, I 100
- hkl 0 0 12, 45.2°, I 18
- hkl 3 0 6, 69.4°, I 22

abc: 4.9822 4.9822 24.0768
angles: 90.00 90.00 120.00
Space group R-3m (No. 166, hexagonal axes)
One atom of each set of equivalent atoms:
Y 0.0000 0.0000 0.1386 x6
Er 0.0000 0.0000 0.0000 x3
Fe 0.0000 0.0000 0.5000 x3
Ni 0.0000 0.0000 0.3333 x6
Ni 0.0010 0.5005 0.9174 x18

***

13.
Computed X-ray powder pattern of ErFe5P3 for Cu Kα (λ = 1.5418 Å), from a PBE-relaxed structure.
Neutral-atom scattering factors, no anomalous dispersion.

The 8 most intense peaks (2θ = 5–70°), sorted by position:
- hkl 1 1 1, 27.1°, I 22
- hkl 1 0 4, 35.9°, I 16
- hkl 3 1 2, 38.1°, I 18
- hkl 2 1 3, 39.3°, I 100
- hkl 4 1 0, 39.4°, I 52
- hkl 4 0 3, 40.4°, I 25
- hkl 0 2 0, 50.3°, I 31
- hkl 6 0 3, 53.9°, I 21

abc: 11.773 3.631 10.251
angles: 90.00 90.00 90.00
Space group Pnma (No. 62)
One atom of each set of equivalent atoms:
Er 0.204 0.250 0.081 x4
Fe 0.010 0.750 0.095 x4
Fe 0.011 0.750 0.708 x4
Fe 0.068 0.750 0.464 x4
Fe 0.177 0.250 0.781 x4
Fe 0.202 0.250 0.376 x4
P 0.104 0.750 0.900 x4
P 0.113 0.250 0.579 x4
P 0.128 0.750 0.266 x4